1.
Computed powder diffraction line list of Pr2DySi4Ni4 for Cu Ka, from a crystal structure in OQMD, relaxed with PBE.
Intensities are scaled so that the largest is 100.

Structure:
```
data_Pr2DySi4Ni4
_chemical_formula_sum 'Pr4 Dy2 Si8 Ni8'
_space_group_name_H-M_alt 'I m m m'
_space_group_IT_number 71
_space_group_name_Hall '-I 2 2'
_cell_length_a 4.0366
_cell_length_b 4.0686
_cell_length_c 23.6354
_cell_angle_alpha 90.00
_cell_angle_beta 90.00
_cell_angle_gamma 90.00
loop_
_atom_site_label
_atom_site_type_symbol
_atom_site_fract_x
_atom_site_fract_y
_atom_site_fract_z
Pr1 Pr 0.0000 0.0000 0.1482
Dy1 Dy 0.0000 0.5000 0.0000
Si1 Si 0.0000 0.0000 0.3008
Si2 Si 0.0000 0.5000 0.4498
Ni1 Ni 0.0000 0.0000 0.4029
Ni2 Ni 0.0000 0.5000 0.2492
```

Main lines, sorted by position (5° ≤ 2θ ≤ 70°):
| d_spacing | I_rel |
| --- | --- |
| 3.615 | 29 |
| 2.954 | 10 |
| 2.590 | 41 |
| 2.578 | 100 |
| 2.206 | 18 |
| 2.034 | 21 |
| 2.018 | 21 |
| 1.900 | 16 |
| 1.600 | 19 |
| 1.489 | 10 |
| 1.433 | 13 |
| 1.383 | 10 |

***

2.
Computed powder diffraction line list of Sc2Hg5 for Cu Ka, from a crystal structure in OQMD, relaxed with PBE.
Intensities are scaled so that the largest is 100.

Structure:
```
data_Sc2Hg5
_chemical_formula_sum 'Sc4 Hg10'
_space_group_name_H-M_alt 'P 4/m b m'
_space_group_IT_number 127
_space_group_name_Hall '-P 4 2ab'
_cell_length_a 10.1587
_cell_length_b 10.1587
_cell_length_c 3.1622
_cell_angle_alpha 90.00
_cell_angle_beta 90.00
_cell_angle_gamma 90.00
loop_
_atom_site_label
_atom_site_type_symbol
_atom_site_fract_x
_atom_site_fract_y
_atom_site_fract_z
Sc1 Sc 0.1851 0.3149 0.0000
Hg1 Hg 0.0000 0.5000 0.5000
Hg2 Hg 0.0562 0.7963 0.5000
```

Main lines, sorted by position (5° ≤ 2θ ≤ 70°):
| d_spacing | I_rel |
| --- | --- |
| 3.212 | 80 |
| 3.162 | 100 |
| 2.818 | 41 |
| 2.595 | 31 |
| 2.464 | 86 |
| 2.394 | 39 |
| 2.373 | 28 |
| 2.254 | 84 |
| 2.104 | 46 |
| 1.944 | 46 |
| 1.418 | 33 |
| 1.366 | 27 |

***

3.
Computed powder diffraction line list of ZrNbAsO for Cu Ka, from a crystal structure in OQMD, relaxed with PBE.
Intensities are scaled so that the largest is 100.

Structure:
```
data_ZrNbAsO
_chemical_formula_sum 'Zr2 Nb2 As2 O2'
_space_group_name_H-M_alt 'P 4/n m m'
_space_group_IT_number 129
_cell_length_a 3.8170
_cell_length_b 3.8170
_cell_length_c 8.6291
_cell_angle_alpha 90.00
_cell_angle_beta 90.00
_cell_angle_gamma 90.00
loop_
_space_group_symop_operation_xyz
'x,y,z'
'-x,-y,-z'
'-y+1/2,x,z'
'y+1/2,-x,-z'
'-x+1/2,-y+1/2,z'
'x+1/2,y+1/2,-z'
'y,-x+1/2,z'
'-y,x+1/2,-z'
'x+1/2,-y,-z'
'-x+1/2,y,z'
'-y,-x,-z'
'y,x,z'
'-x,y+1/2,-z'
'x,-y+1/2,z'
'y+1/2,x+1/2,-z'
'-y+1/2,-x+1/2,z'
loop_
_atom_site_label
_atom_site_type_symbol
_atom_site_fract_x
_atom_site_fract_y
_atom_site_fract_z
Zr1 Zr 0.2500 0.2500 0.1393
Nb1 Nb 0.2500 0.7500 0.5000
As1 As 0.2500 0.2500 0.7207
O1 O 0.2500 0.7500 0.0000
```

Main lines, sorted by position (5° ≤ 2θ ≤ 70°):
| d_spacing | I_rel |
| --- | --- |
| 8.629 | 16 |
| 2.876 | 17 |
| 2.859 | 67 |
| 2.576 | 54 |
| 2.297 | 31 |
| 2.288 | 100 |
| 1.908 | 56 |
| 1.685 | 18 |
| 1.587 | 22 |
| 1.573 | 14 |
| 1.468 | 15 |
| 1.350 | 17 |